1.
Cd2InB2Rh5: theoretical powder diffraction line list (Cu Kα, 1.54184 Å), based on a structure optimized by DFT (GGA-PBE).
Peak positions follow from Bragg's law for the DFT cell and can differ from measured ones.

Main lines, sorted by position (2θ from 10° to 80°):
2θ (°)	I_rel
36.62	77
37.68	91
40.02	49
41.01	55
42.16	100
45.21	33
63.45	22
65.02	24
68.84	22
75.68	22

Cell and atoms:
a = 9.8423 Å, b = 9.8423 Å, c = 2.9561 Å
α = 90.00°, β = 90.00°, γ = 90.00°
Atoms (fractional coordinates):
Cd  0.1786  0.3214  0.0000
Cd  0.3214  0.8214  0.0000
Cd  0.6786  0.1786  0.0000
Cd  0.8214  0.6786  0.0000
In  0.0000  0.0000  0.0000
In  0.5000  0.5000  0.0000
B  0.1227  0.6227  0.0000
B  0.3773  0.1227  0.0000
B  0.6227  0.8773  0.0000
B  0.8773  0.3773  0.0000
Rh  0.0000  0.5000  0.5000
Rh  0.0688  0.7725  0.5000
Rh  0.2275  0.0688  0.5000
Rh  0.2725  0.5688  0.5000
Rh  0.4312  0.2725  0.5000
Rh  0.5000  0.0000  0.5000
Rh  0.5688  0.7275  0.5000
Rh  0.7275  0.4312  0.5000
Rh  0.7725  0.9312  0.5000
Rh  0.9312  0.2275  0.5000

***

2.
K4TiO4: theoretical powder diffraction line list (Cu Kα, 1.54184 Å), based on a structure optimized by DFT (GGA-PBE).
Peak positions follow from Bragg's law for the DFT cell and can differ from measured ones.

Main lines, sorted by position (2θ from 10° to 80°):
2θ (°)	I_rel
29.22	57
29.49	95
29.95	74
30.11	84
33.18	99
33.86	100
36.26	77
36.56	37
48.13	49
51.23	45

Cell and atoms:
a = 6.4594 Å, b = 6.4916 Å, c = 9.6578 Å
α = 72.22°, β = 80.18°, γ = 66.99°
Atoms (fractional coordinates):
K  0.2268  0.4596  0.1167
K  0.2472  0.9134  0.3379
K  0.2500  0.2691  0.5267
K  0.2724  0.0161  0.9360
K  0.7276  0.9839  0.0640
K  0.7500  0.7309  0.4733
K  0.7528  0.0866  0.6621
K  0.7732  0.5404  0.8833
Ti  0.2709  0.6570  0.7473
Ti  0.7291  0.3430  0.2527
O  0.0463  0.7881  0.8753
O  0.1282  0.6651  0.5946
O  0.4470  0.3587  0.8442
O  0.4498  0.8364  0.6917
O  0.5502  0.1636  0.3083
O  0.5530  0.6413  0.1558
O  0.8718  0.3349  0.4054
O  0.9537  0.2119  0.1247

***

3.
La8CdCu2: theoretical powder diffraction line list (Cu Kα, 1.54184 Å), based on a structure optimized by DFT (GGA-PBE).
Peak positions follow from Bragg's law for the DFT cell and can differ from measured ones.

Main lines, sorted by position (2θ from 10° to 80°):
2θ (°)	I_rel
26.88	17
27.22	19
31.63	100
31.83	89
32.01	40
32.71	54
44.54	13
46.41	28
57.70	20
57.82	16

Cell and atoms:
a = 8.7529 Å, b = 8.7529 Å, c = 8.6154 Å
α = 117.52°, β = 117.52°, γ = 36.46°
Atoms (fractional coordinates):
La  0.0687  0.0687  0.2297
La  0.1531  0.1531  0.7286
La  0.3126  0.3126  0.5275
La  0.3938  0.3938  0.0363
La  0.6062  0.6062  0.9637
La  0.6874  0.6874  0.4725
La  0.8469  0.8469  0.2714
La  0.9313  0.9313  0.7703
Cd  0.5000  0.5000  0.5000
Cu  0.2196  0.2196  0.1249
Cu  0.7804  0.7804  0.8751